This entry pairs a crystal structure of K6Na12Ag with its theoretical X-ray powder pattern. Radiation: Cu Kα (λ = 1.5418 Å). Structure: a structure optimized by DFT (PBE).
Intensities are scaled so that the largest is 1000.

Peak list (10 most intense, 2θ from 15° to 90°, in order of falling intensity)
2θ (°)  I_rel
28.49  1000
26.34  870
28.32  318
31.96  258
22.25  243
45.10  219
30.94  201
19.70  198
31.23  197
29.12  176

Crystal structure
Lattice parameters (Å, degrees): 9.643 9.643 9.643 97.48 97.48 97.48
Positions (direct):
K: 0.196 0.379 0.752
K: 0.248 0.804 0.621
K: 0.379 0.752 0.196
K: 0.621 0.248 0.804
K: 0.752 0.196 0.379
K: 0.804 0.621 0.248
Na: 0.006 0.723 0.950
Na: 0.050 0.994 0.277
Na: 0.170 0.442 0.372
Na: 0.277 0.050 0.994
Na: 0.372 0.170 0.442
Na: 0.442 0.372 0.170
Na: 0.558 0.628 0.830
Na: 0.628 0.830 0.558
Na: 0.723 0.950 0.006
Na: 0.830 0.558 0.628
Na: 0.950 0.006 0.723
Na: 0.994 0.277 0.050
Ag: 0.500 0.500 0.500